Calculated powder XRD pattern of Ce2Pm3Hg8 for CuKα, from a structure optimized by DFT (PBE).
No peak broadening, texture or thermal motion is included.

Largest 10 diffraction maxima, in order of rising 2θ, 10 to 90 degrees two-theta:
2θ/deg, d_spacing, I (rel.)
29.32, 3.046, 32
30.27, 2.952, 49
32.39, 2.764, 70
34.37, 2.610, 100
35.49, 2.530, 43
36.31, 2.474, 48
37.22, 2.416, 40
49.74, 1.833, 34
53.97, 1.699, 35
60.82, 1.523, 42

Atomic structure:
abc: 12.406 12.406 12.406
angles: 28.43 28.43 28.43
Fractional coordinates of all 13 atoms:
Ce 0.129 0.129 0.129
Ce 0.871 0.871 0.871
Pm 0.307 0.307 0.307
Pm 0.500 0.500 0.500
Pm 0.693 0.693 0.693
Hg 0.215 0.215 0.215
Hg 0.224 0.224 0.717
Hg 0.224 0.717 0.224
Hg 0.283 0.776 0.776
Hg 0.717 0.224 0.224
Hg 0.776 0.283 0.776
Hg 0.776 0.776 0.283
Hg 0.785 0.785 0.785